(1)
For Ca3U3AlP8, a PBE-relaxed structure gives the simulated powder diffraction line list in this record (Cu Kα (λ = 1.5418 Å)).
Peak positions follow from Bragg's law for the DFT cell and can differ from measured ones.

Atomic structure:
```
data_Ca3U3AlP8
_cell_length_a 7.8727
_cell_length_b 7.8727
_cell_length_c 20.0877
_cell_angle_alpha 90.00
_cell_angle_beta 90.00
_cell_angle_gamma 120.00
_space_group_name_H-M_alt 'R -3 m'
_space_group_IT_number 166
_space_group_name_Hall '-R 3 2"'
loop_
_atom_site_label
_atom_site_type_symbol
_atom_site_fract_x
_atom_site_fract_y
_atom_site_fract_z
Ca1 Ca 0.0000 0.5000 0.0000
U1 U 0.0000 0.5000 0.5000
Al1 Al 0.0000 0.0000 0.5000
P1 P 0.0000 0.0000 0.2431
P2 P 0.0079 0.5040 0.2377
```

Most intense lines, 2θ = 10–80°, in order of falling intensity:
2θ (°), d [Å], I_rel, index
31.7, 2.821, 100.0, 0 2 4
13.2, 6.696, 87.5, 0 0 3
26.5, 3.361, 42.3, 0 2 1
27.6, 3.228, 41.9, 2 0 2
44.8, 2.022, 35.9, 2 0 8
46.1, 1.968, 35.3, 2 2 0
15.7, 5.641, 26.7, 0 1 2
48.2, 1.888, 22.3, 2 2 3

=====

(2)
For Al17Mo4, a PBE-relaxed structure gives the simulated powder diffraction line list in this record (Cu Kα (λ = 1.5418 Å)).
Peak positions follow from Bragg's law for the DFT cell and can differ from measured ones.

Atomic structure:
```
data_Al17Mo4
_cell_length_a 9.1793
_cell_length_b 4.9331
_cell_length_c 28.9727
_cell_angle_alpha 90.00
_cell_angle_beta 96.62
_cell_angle_gamma 90.00
_space_group_name_H-M_alt 'C 1 2/c 1'
_space_group_IT_number 15
_space_group_name_Hall '-C 2yc'
loop_
_atom_site_label
_atom_site_type_symbol
_atom_site_fract_x
_atom_site_fract_y
_atom_site_fract_z
Al1 Al 0.0000 0.1907 0.2500
Al2 Al 0.0316 0.3246 0.7006
Al3 Al 0.0605 0.1741 0.1559
Al4 Al 0.0976 0.3135 0.6057
Al5 Al 0.1257 0.1623 0.0536
Al6 Al 0.1271 0.3620 0.5068
Al7 Al 0.1318 0.3465 0.4141
Al8 Al 0.1835 0.1610 0.8700
Al9 Al 0.2260 0.1548 0.7728
Mo1 Mo 0.1123 0.1406 0.9594
Mo2 Mo 0.2043 0.3464 0.3204
```

Most intense lines, 2θ = 10–80°, in order of falling intensity:
2θ (°), d [Å], I_rel, index
41.9, 2.154, 100.0, 2 2 1
41.3, 2.188, 86.9, 1 1 11
42.7, 2.116, 84.8, 3 1 -9
36.5, 2.462, 71.8, 1 1 -10
22.0, 4.037, 52.5, 1 1 -3
40.8, 2.212, 52.3, 4 0 2
21.1, 4.212, 43.7, 2 0 2
65.6, 1.423, 29.2, 1 3 -10

=====

(3)
For Na4B5C3, a PBE-relaxed structure gives the simulated powder diffraction line list in this record (Cu Kα (λ = 1.5418 Å)).
Peak positions follow from Bragg's law for the DFT cell and can differ from measured ones.

Atomic structure:
```
data_Na4B5C3
_cell_length_a 2.8123
_cell_length_b 8.5259
_cell_length_c 5.0591
_cell_angle_alpha 90.00
_cell_angle_beta 90.00
_cell_angle_gamma 90.00
_space_group_name_H-M_alt 'P m m 2'
_space_group_IT_number 25
_space_group_name_Hall 'P 2 -2'
loop_
_atom_site_label
_atom_site_type_symbol
_atom_site_fract_x
_atom_site_fract_y
_atom_site_fract_z
Na1 Na 0.0000 0.2460 0.0000
Na2 Na 0.5000 0.2479 0.5020
B1 B 0.0000 0.0000 0.3308
B2 B 0.0000 0.5000 0.3487
B3 B 0.0000 0.5000 0.6790
B4 B 0.5000 0.0000 0.8306
B5 B 0.5000 0.5000 0.1375
C1 C 0.0000 0.0000 0.6650
C2 C 0.5000 0.0000 0.1653
C3 C 0.5000 0.5000 0.8356
```

Most intense lines, 2θ = 10–80°, in order of falling intensity:
2θ (°), d [Å], I_rel, index
42.4, 2.130, 100.0, 0 4 0
41.5, 2.175, 36.3, 0 2 2
64.4, 1.446, 12.8, 1 0 3
36.6, 2.458, 12.0, 1 0 1
77.6, 1.230, 10.4, 1 6 1
35.5, 2.530, 7.5, 0 0 2
57.2, 1.610, 6.8, 1 4 1
66.5, 1.406, 5.8, 2 0 0

=====

(4)
For SrHg10Pb2, a PBE-relaxed structure gives the simulated powder diffraction line list in this record (Cu Kα (λ = 1.5418 Å)).
Peak positions follow from Bragg's law for the DFT cell and can differ from measured ones.

Atomic structure:
```
data_SrHg10Pb2
_cell_length_a 6.9425
_cell_length_b 14.3637
_cell_length_c 14.9090
_cell_angle_alpha 90.00
_cell_angle_beta 90.00
_cell_angle_gamma 90.00
_space_group_name_H-M_alt 'F m m m'
_space_group_IT_number 69
_space_group_name_Hall '-F 2 2'
loop_
_atom_site_label
_atom_site_type_symbol
_atom_site_fract_x
_atom_site_fract_y
_atom_site_fract_z
Sr1 Sr 0.0000 0.0000 0.0000
Hg1 Hg 0.0000 0.1084 0.3972
Hg2 Hg 0.0000 0.1791 0.1724
Hg3 Hg 0.2500 0.2500 0.0000
Pb1 Pb 0.2500 0.0000 0.2500
```

Most intense lines, 2θ = 10–80°, in order of falling intensity:
2θ (°), d [Å], I_rel, index
31.0, 2.882, 100.0, 2 2 2
35.3, 2.540, 68.4, 2 0 4
34.7, 2.586, 62.3, 0 4 4
36.0, 2.496, 59.5, 2 4 0
34.3, 2.613, 51.6, 1 5 1
33.3, 2.691, 48.2, 1 1 5
28.9, 3.088, 42.7, 1 3 3
59.9, 1.544, 40.7, 2 6 6

=====

(5)
For La4Pm3Dy5, a PBE-relaxed structure gives the simulated powder diffraction line list in this record (Cu Kα (λ = 1.5418 Å)).
Peak positions follow from Bragg's law for the DFT cell and can differ from measured ones.

Atomic structure:
```
data_La4Pm3Dy5
_cell_length_a 16.3377
_cell_length_b 6.0542
_cell_length_c 9.4910
_cell_angle_alpha 90.00
_cell_angle_beta 116.77
_cell_angle_gamma 90.00
_space_group_name_H-M_alt 'C 1 2/m 1'
_space_group_IT_number 12
_space_group_name_Hall '-C 2y'
loop_
_atom_site_label
_atom_site_type_symbol
_atom_site_fract_x
_atom_site_fract_y
_atom_site_fract_z
La1 La 0.0856 0.0000 0.4445
La2 La 0.2122 0.0000 0.8835
Pm1 Pm 0.0000 0.5000 0.0000
Pm2 Pm 0.2118 0.0000 0.2333
Dy1 Dy 0.0000 0.0000 0.0000
Dy2 Dy 0.0706 0.5000 0.6993
Dy3 Dy 0.1707 0.5000 0.3851
```

Most intense lines, 2θ = 10–80°, in order of falling intensity:
2θ (°), d [Å], I_rel, index
29.5, 3.027, 100.0, 0 2 0
32.0, 2.799, 68.8, 5 1 -2
33.0, 2.717, 63.3, 1 1 -3
31.3, 2.860, 57.6, 5 1 -1
30.8, 2.908, 40.8, 4 0 1
59.0, 1.565, 38.0, 6 2 -5
43.1, 2.097, 34.1, 4 2 1
29.0, 3.081, 29.3, 3 1 1

=====

(6)
For VIr2Au, a PBE-relaxed structure gives the simulated powder diffraction line list in this record (Cu Kα (λ = 1.5418 Å)).
Peak positions follow from Bragg's law for the DFT cell and can differ from measured ones.

Atomic structure:
```
data_VIr2Au
_cell_length_a 7.0365
_cell_length_b 7.0365
_cell_length_c 5.3557
_cell_angle_alpha 90.00
_cell_angle_beta 90.00
_cell_angle_gamma 90.00
_space_group_name_H-M_alt 'I -4 2 d'
_space_group_IT_number 122
_space_group_name_Hall 'I -4 2bw'
loop_
_atom_site_label
_atom_site_type_symbol
_atom_site_fract_x
_atom_site_fract_y
_atom_site_fract_z
V1 V 0.0000 0.0000 0.0000
Ir1 Ir 0.2044 0.2500 0.1250
Au1 Au 0.0000 0.0000 0.5000
```

Most intense lines, 2θ = 10–80°, in order of falling intensity:
2θ (°), d [Å], I_rel, index
38.2, 2.358, 100.0, 1 1 2
36.1, 2.488, 96.5, 2 2 0
53.5, 1.711, 60.5, 3 1 2
33.0, 2.713, 54.1, 2 1 1
52.0, 1.759, 28.3, 4 0 0
76.1, 1.251, 24.9, 2 0 4
42.1, 2.148, 24.6, 3 0 1
69.0, 1.361, 17.9, 4 3 1